Starting from DFT lattice parameters and positions (GGA-PBE), the powder diffractogram of CaH16O10 was calculated for a wavelength of 1.5418 Å.
Peak positions follow from Bragg's law for the DFT cell and can differ from measured ones.

Cell and atoms:
a b c (Å): 6.0605 6.3684 11.3253
angles (deg): 87.79 89.75 88.59
Element x y z (fractional)
Ca 0.0000 0.0000 0.0000
Ca 0.0081 0.9989 0.4846
H 0.0230 0.5722 0.6107
H 0.0802 0.6464 0.2893
H 0.0895 0.3691 0.8034
H 0.1675 0.2548 0.2024
H 0.2682 0.1181 0.6924
H 0.2730 0.6220 0.5896
H 0.2846 0.3722 0.0933
H 0.2861 0.8330 0.2048
H 0.2970 0.6339 0.3753
H 0.3056 0.3747 0.8841
H 0.3745 0.2580 0.5842
H 0.3748 0.2961 0.3780
H 0.3839 0.7135 0.8887
H 0.3884 0.7259 0.0911
H 0.4150 0.9573 0.8738
H 0.4318 0.0633 0.3455
H 0.5518 0.0293 0.1170
H 0.5617 0.9634 0.6252
H 0.6267 0.7212 0.3939
H 0.6279 0.2759 0.8810
H 0.6326 0.2617 0.1009
H 0.6925 0.0921 0.7848
H 0.7073 0.4085 0.5896
H 0.7156 0.3739 0.3838
H 0.7343 0.6129 0.0884
H 0.7370 0.8522 0.2875
H 0.7440 0.6175 0.8744
H 0.7470 0.8289 0.7025
H 0.8469 0.2763 0.6888
H 0.9621 0.4180 0.4004
H 0.9791 0.5416 0.1113
H 0.9913 0.6705 0.8219
O 0.1243 0.6935 0.6033
O 0.1397 0.3062 0.1201
O 0.1744 0.7322 0.3369
O 0.1763 0.2829 0.8595
O 0.2997 0.8522 0.8730
O 0.3048 0.1608 0.3518
O 0.3096 0.1108 0.6090
O 0.3269 0.8646 0.1209
O 0.4820 0.4664 0.5531
O 0.4913 0.5008 0.4220
O 0.5055 0.4987 0.0531
O 0.5152 0.4951 0.9209
O 0.6878 0.1141 0.1191
O 0.6955 0.8613 0.3709
O 0.7017 0.1332 0.8675
O 0.7226 0.9433 0.6409
O 0.8453 0.7281 0.8392
O 0.8684 0.3119 0.3683
O 0.8698 0.3606 0.6165
O 0.8837 0.6719 0.1084

Top 8 peaks for 2θ from 5° to 70°, by angle:
15.66°, I 100, hkl 0 0 2
25.12°, I 59, hkl 1 1 2
25.59°, I 49, hkl -1 1 2
25.86°, I 42, hkl 1 1 -2
31.62°, I 59, hkl 0 0 4
32.79°, I 53, hkl 0 2 -2
33.29°, I 43, hkl 2 1 1
33.55°, I 68, hkl 2 0 2

=====

Starting from DFT lattice parameters and positions (GGA-PBE), the powder diffractogram of GdS2 was calculated for a wavelength of 1.5418 Å.
Peak positions follow from Bragg's law for the DFT cell and can differ from measured ones.

Cell and atoms:
a b c (Å): 3.8944 3.8944 8.0368
angles (deg): 90.00 90.00 90.00
Element x y z (fractional)
Gd 0.2500 0.2500 0.2260
Gd 0.7500 0.7500 0.7740
S 0.2500 0.2500 0.8667
S 0.2500 0.7500 0.5000
S 0.7500 0.2500 0.5000
S 0.7500 0.7500 0.1333

Top 8 peaks for 2θ from 5° to 70°, by angle:
22.12°, I 29, hkl 0 0 2
25.41°, I 100, hkl 1 0 1
32.51°, I 39, hkl 1 1 0
39.68°, I 64, hkl 1 1 2
40.89°, I 44, hkl 1 0 3
46.65°, I 29, hkl 2 0 0
53.86°, I 27, hkl 2 1 1
63.74°, I 23, hkl 2 1 3